Structure and calculated powder diffractogram of Tb2DyMg3Pd2Pt (DFT lattice parameters and positions (PBE); a wavelength of 1.5418 Å).

Peak list (10 most intense, 15 to 90 degrees two-theta, sorted by position)
21.7 deg, d = 4.102 Å, I 21, (1 0 0); 24.1 deg, d = 3.699 Å, I 39, (0 3 1); 27.9 deg, d = 3.203 Å, I 30, (0 4 0); 32.6 deg, d = 2.747 Å, I 60, (1 3 1); 35.6 deg, d = 2.525 Å, I 100, (1 4 0); 42.3 deg, d = 2.135 Å, I 34, (0 6 0); 43.4 deg, d = 2.085 Å, I 33, (1 1 3); 44.2 deg, d = 2.051 Å, I 23, (2 0 0); 62.8 deg, d = 1.479 Å, I 21, (2 6 0); 67.7 deg, d = 1.384 Å, I 27, (1 7 3)

Atomic structure:
```
data_Tb2DyMg3Pd2Pt
_chemical_formula_sum 'Tb4 Dy2 Mg6 Pd4 Pt2'
_cell_length_a 4.1018
_cell_length_b 12.8153
_cell_length_c 7.3952
_cell_angle_alpha 90.00
_cell_angle_beta 90.00
_cell_angle_gamma 90.00
_symmetry_space_group_name_H-M 'A m m 2'
_symmetry_Int_Tables_number 38
loop_
_symmetry_equiv_pos_as_xyz
'x,y,z'
'-x,-y,z'
'-x,y,z'
'x,-y,z'
'x,y+1/2,z+1/2'
'-x,-y+1/2,z+1/2'
'-x,y+1/2,z+1/2'
'x,-y+1/2,z+1/2'
loop_
_atom_site_label
_atom_site_type_symbol
_atom_site_fract_x
_atom_site_fract_y
_atom_site_fract_z
_atom_site_occupancy
Tb1 Tb 0.0000 0.2040 0.0000 1
Dy1 Dy 0.0000 0.0000 0.3886 1
Mg1 Mg 0.5000 0.0000 0.0402 1
Mg2 Mg 0.5000 0.1218 0.6739 1
Pd1 Pd 0.5000 0.1663 0.2962 1
Pt1 Pt 0.0000 0.0000 0.7954 1
```